Record 1
Structure and simulated powder X-ray diffraction pattern of XeIF7 (a crystal structure in the Materials Project, relaxed with PBE; copper Kα).

The 8 most intense peaks (15° ≤ 2θ ≤ 90°), sorted by position:
2θ = 22.5°, intensity 100.0, hkl 1 1 2; 2θ = 22.7°, intensity 50.8, hkl 2 0 0; 2θ = 31.8°, intensity 15.5, hkl 0 0 4; 2θ = 32.3°, intensity 13.0, hkl 2 2 0; 2θ = 39.7°, intensity 43.2, hkl 3 1 2; 2θ = 46.3°, intensity 11.5, hkl 4 0 0; 2θ = 52.1°, intensity 24.7, hkl 4 2 0; 2θ = 62.5°, intensity 12.0, hkl 5 1 2

Cell lengths 7.851, 7.851, 11.265 Å; angles 90.00, 90.00, 90.00 degrees
Space group I4/m (No. 87)
Asymmetric unit:
1 Xe 0.000 0.500 0.000
2 I 0.000 0.000 0.213
3 F 0.000 0.000 0.380
4 F 0.060 0.765 0.240
5 F 0.094 0.251 0.000

=====

Record 2
Structure and simulated powder X-ray diffraction pattern of InF3 (a crystal structure in the Materials Project, relaxed with PBE; copper Kα).

The 8 most intense peaks (15° ≤ 2θ ≤ 90°), sorted by position:
2θ = 22.2°, intensity 100.0, hkl 0 1 2; 2θ = 30.8°, intensity 31.5, hkl 1 0 4; 2θ = 32.5°, intensity 18.8, hkl 1 1 0; 2θ = 39.8°, intensity 12.0, hkl 2 0 2; 2θ = 45.4°, intensity 17.8, hkl 0 2 4; 2θ = 49.9°, intensity 27.8, hkl 1 1 6; 2θ = 52.3°, intensity 16.6, hkl 1 2 2; 2θ = 56.9°, intensity 12.4, hkl 2 1 4

Cell lengths 5.5067, 5.5067, 14.6644 Å; angles 90.00, 90.00, 120.00 degrees
Space group R-3c (No. 167, hexagonal axes)
Asymmetric unit:
1 In 0.0000 0.0000 0.0000
2 F 0.0000 0.3825 0.2500

=====

Record 3
Structure and simulated powder X-ray diffraction pattern of K3InF6 (a crystal structure in the Materials Project, relaxed with PBE; copper Kα).

The 8 most intense peaks (15° ≤ 2θ ≤ 90°), sorted by position:
2θ = 16.6°, intensity 44.2, hkl 1 1 1; 2θ = 19.2°, intensity 39.4, hkl 2 0 0; 2θ = 27.3°, intensity 100.0, hkl 2 2 0; 2θ = 39.0°, intensity 55.3, hkl 4 0 0; 2θ = 48.3°, intensity 36.8, hkl 4 2 2; 2θ = 56.4°, intensity 31.7, hkl 4 4 0; 2θ = 63.8°, intensity 18.0, hkl 6 2 0; 2θ = 77.3°, intensity 19.3, hkl 6 4 2

Cell lengths 9.233, 9.233, 9.233 Å; angles 90.00, 90.00, 90.00 degrees
Space group Fm-3m (No. 225)
Asymmetric unit:
1 K 0.000 0.000 0.000
2 K 0.250 0.250 0.250
3 In 0.000 0.000 0.500
4 F 0.000 0.000 0.272

=====

Record 4
Structure and simulated powder X-ray diffraction pattern of K3InF6 (a crystal structure in the Materials Project, relaxed with PBE; copper Kα).

The 8 most intense peaks (15° ≤ 2θ ≤ 90°), sorted by position:
2θ = 16.8°, intensity 45.9, hkl 1 1 1; 2θ = 19.4°, intensity 30.9, hkl 2 0 0; 2θ = 27.6°, intensity 100.0, hkl 2 2 0; 2θ = 39.5°, intensity 39.9, hkl 4 0 0; 2θ = 48.8°, intensity 50.2, hkl 4 2 2; 2θ = 57.0°, intensity 19.5, hkl 4 4 0; 2θ = 64.5°, intensity 18.7, hkl 6 0 2; 2θ = 78.3°, intensity 22.3, hkl 6 4 2

Cell lengths 9.136, 9.136, 9.136 Å; angles 90.00, 90.00, 90.00 degrees
Space group Pn-3 (No. 201, origin choice 2)
Asymmetric unit:
1 K 0.000 0.000 0.000
2 K 0.250 0.250 0.250
3 K 0.250 0.250 0.750
4 In 0.000 0.000 0.500
5 F 0.040 0.722 0.949

=====

Record 5
Structure and simulated powder X-ray diffraction pattern of KInF3 (a crystal structure in the Materials Project, relaxed with PBE; copper Kα).

The 8 most intense peaks (15° ≤ 2θ ≤ 90°), sorted by position:
2θ = 19.0°, intensity 55.5, hkl 2 0 0; 2θ = 27.0°, intensity 100.0, hkl 2 2 0; 2θ = 38.6°, intensity 44.2, hkl 4 0 0; 2θ = 43.4°, intensity 24.9, hkl 4 2 0; 2θ = 47.7°, intensity 38.8, hkl 4 2 2; 2θ = 55.7°, intensity 26.3, hkl 4 4 0; 2θ = 63.0°, intensity 18.6, hkl 6 2 0; 2θ = 76.3°, intensity 20.3, hkl 6 4 2

Cell lengths 9.335, 9.335, 9.335 Å; angles 90.00, 90.00, 90.00 degrees
Space group Fm-3m (No. 225)
Asymmetric unit:
1 K 0.250 0.250 0.250
2 In 0.000 0.000 0.000
3 In 0.000 0.000 0.500
4 F 0.000 0.000 0.226

=====

Record 6
Structure and simulated powder X-ray diffraction pattern of K2LiInF6 (a crystal structure in the Materials Project, relaxed with PBE; copper Kα).

The 8 most intense peaks (15° ≤ 2θ ≤ 90°), sorted by position:
2θ = 18.3°, intensity 100.0, hkl 1 1 1; 2θ = 21.2°, intensity 27.5, hkl 2 0 0; 2θ = 30.1°, intensity 97.2, hkl 2 2 0; 2θ = 35.5°, intensity 58.4, hkl 3 1 1; 2θ = 43.1°, intensity 65.7, hkl 4 0 0; 2θ = 47.2°, intensity 25.8, hkl 3 3 1; 2θ = 53.5°, intensity 37.0, hkl 4 2 2; 2θ = 62.6°, intensity 37.0, hkl 4 4 0

Cell lengths 8.397, 8.397, 8.397 Å; angles 90.00, 90.00, 90.00 degrees
Space group Fm-3m (No. 225)
Asymmetric unit:
1 K 0.250 0.250 0.250
2 Li 0.000 0.000 0.000
3 In 0.000 0.000 0.500
4 F 0.000 0.000 0.249

=====

Record 7
Structure and simulated powder X-ray diffraction pattern of K2RbInF6 (a crystal structure in the Materials Project, relaxed with PBE; copper Kα).

The 8 most intense peaks (15° ≤ 2θ ≤ 90°), sorted by position:
2θ = 18.7°, intensity 49.4, hkl 2 0 0; 2θ = 26.6°, intensity 100.0, hkl 2 2 0; 2θ = 38.0°, intensity 46.9, hkl 4 0 0; 2θ = 42.7°, intensity 21.3, hkl 4 2 0; 2θ = 47.0°, intensity 37.8, hkl 4 2 2; 2θ = 54.9°, intensity 27.6, hkl 4 4 0; 2θ = 62.0°, intensity 19.6, hkl 6 2 0; 2θ = 75.1°, intensity 20.9, hkl 6 4 2

Cell lengths 9.467, 9.467, 9.467 Å; angles 90.00, 90.00, 90.00 degrees
Space group Fm-3m (No. 225)
Asymmetric unit:
1 K 0.250 0.250 0.250
2 Rb 0.000 0.000 0.000
3 In 0.000 0.000 0.500
4 F 0.000 0.000 0.278

=====

Record 8
Structure and simulated powder X-ray diffraction pattern of K2ScInF6 (a crystal structure in the Materials Project, relaxed with PBE; copper Kα).

The 8 most intense peaks (15° ≤ 2θ ≤ 90°), sorted by position:
2θ = 19.2°, intensity 40.4, hkl 2 0 0; 2θ = 27.3°, intensity 100.0, hkl 2 2 0; 2θ = 32.1°, intensity 18.1, hkl 3 1 1; 2θ = 38.9°, intensity 52.0, hkl 4 0 0; 2θ = 48.2°, intensity 35.5, hkl 4 2 2; 2θ = 56.2°, intensity 29.2, hkl 4 4 0; 2θ = 63.6°, intensity 19.2, hkl 6 2 0; 2θ = 77.1°, intensity 19.9, hkl 6 4 2

Cell lengths 9.253, 9.253, 9.253 Å; angles 90.00, 90.00, 90.00 degrees
Space group Fm-3m (No. 225)
Asymmetric unit:
1 K 0.250 0.250 0.250
2 Sc 0.000 0.000 0.000
3 In 0.000 0.000 0.500
4 F 0.000 0.000 0.220

=====

Record 9
Structure and simulated powder X-ray diffraction pattern of K2YInF6 (a crystal structure in the Materials Project, relaxed with PBE; copper Kα).

The 8 most intense peaks (15° ≤ 2θ ≤ 90°), sorted by position:
2θ = 18.6°, intensity 50.9, hkl 2 0 0; 2θ = 26.4°, intensity 100.0, hkl 2 2 0; 2θ = 37.7°, intensity 48.1, hkl 4 0 0; 2θ = 42.3°, intensity 22.8, hkl 4 2 0; 2θ = 46.6°, intensity 39.2, hkl 4 2 2; 2θ = 54.3°, intensity 29.0, hkl 4 4 0; 2θ = 61.4°, intensity 18.8, hkl 6 2 0; 2θ = 74.3°, intensity 20.4, hkl 6 4 2

Cell lengths 9.549, 9.549, 9.549 Å; angles 90.00, 90.00, 90.00 degrees
Space group Fm-3m (No. 225)
Asymmetric unit:
1 K 0.250 0.250 0.250
2 Y 0.000 0.000 0.000
3 In 0.000 0.000 0.500
4 F 0.000 0.000 0.229

=====

Record 10
Structure and simulated powder X-ray diffraction pattern of Rb2LiInF6 (a crystal structure in the Materials Project, relaxed with PBE; copper Kα).

The 8 most intense peaks (15° ≤ 2θ ≤ 90°), sorted by position:
2θ = 17.9°, intensity 44.4, hkl 1 1 1; 2θ = 29.5°, intensity 100.0, hkl 2 2 0; 2θ = 34.7°, intensity 24.6, hkl 3 1 1; 2θ = 42.2°, intensity 47.8, hkl 4 0 0; 2θ = 52.3°, intensity 40.4, hkl 4 2 2; 2θ = 61.2°, intensity 28.8, hkl 4 4 0; 2θ = 69.4°, intensity 17.7, hkl 6 2 0; 2θ = 84.6°, intensity 21.4, hkl 6 4 2

Cell lengths 8.569, 8.569, 8.569 Å; angles 90.00, 90.00, 90.00 degrees
Space group Fm-3m (No. 225)
Asymmetric unit:
1 Rb 0.250 0.250 0.250
2 Li 0.000 0.000 0.000
3 In 0.000 0.000 0.500
4 F 0.000 0.000 0.253